(1)
Ga3O5: computed X-ray diffraction stick pattern (Cu Ka), based on a cell relaxed with PBE.

Principal peaks in the range 15 to 90 degrees two-theta, in order of rising 2θ:
two_theta  d (Å)  I (rel.)
21.0  4.228  51
25.2  3.533  46
30.3  2.954  100
36.2  2.484  47
38.1  2.360  44
55.7  1.651  40

Cell and atoms:
Cell: 8.702 6.052 8.046 Å, 90.00 90.00 90.00°
Positions (direct):
1 Ga 0.000 0.000 0.000
2 Ga 0.000 0.500 0.000
3 Ga 0.199 0.250 0.304
4 Ga 0.205 0.250 0.688
5 Ga 0.295 0.750 0.188
6 Ga 0.301 0.750 0.804
7 Ga 0.500 0.000 0.500
8 Ga 0.500 0.500 0.500
9 Ga 0.699 0.250 0.196
10 Ga 0.705 0.250 0.812
11 Ga 0.795 0.750 0.312
12 Ga 0.801 0.750 0.696
13 O 0.081 0.250 0.499
14 O 0.099 0.750 0.881
15 O 0.102 0.250 0.886
16 O 0.168 0.501 0.176
17 O 0.168 0.999 0.176
18 O 0.332 0.001 0.676
19 O 0.332 0.499 0.676
20 O 0.398 0.750 0.386
21 O 0.401 0.250 0.381
22 O 0.419 0.750 0.999
23 O 0.581 0.250 0.001
24 O 0.599 0.750 0.619
25 O 0.602 0.250 0.614
26 O 0.668 0.501 0.324
27 O 0.668 0.999 0.324
28 O 0.832 0.001 0.824
29 O 0.832 0.499 0.824
30 O 0.898 0.750 0.114
31 O 0.901 0.250 0.119
32 O 0.919 0.750 0.501

(2)
GaO: computed X-ray diffraction stick pattern (Cu Ka), based on a cell relaxed with PBE.

Principal peaks in the range 15 to 90 degrees two-theta, in order of rising 2θ:
two_theta  d (Å)  I (rel.)
30.5  2.933  42
30.9  2.895  46
34.5  2.596  100
54.9  1.672  32
56.8  1.620  41
64.1  1.452  28

Cell and atoms:
Cell: 3.343 3.343 5.866 Å, 90.00 90.00 120.00°
Positions (direct):
1 Ga 0.333 0.667 0.000
2 Ga 0.667 0.333 0.500
3 O 0.333 0.667 0.366
4 O 0.667 0.333 0.866

(3)
GaO3: computed X-ray diffraction stick pattern (Cu Ka), based on a cell relaxed with PBE.

Principal peaks in the range 15 to 90 degrees two-theta, in order of rising 2θ:
two_theta  d (Å)  I (rel.)
25.3  3.517  100
36.1  2.487  65
40.6  2.225  15
44.6  2.031  27
58.7  1.573  55
64.9  1.436  38

Cell and atoms:
Cell: 6.092 6.092 6.092 Å, 109.47 109.47 109.47°
Positions (direct):
1 Ga 0.000 0.000 0.500
2 Ga 0.000 0.500 0.000
3 Ga 0.500 0.000 0.000
4 Ga 0.500 0.500 0.500
5 O 0.146 0.333 0.480
6 O 0.146 0.667 0.813
7 O 0.187 0.854 0.333
8 O 0.333 0.187 0.854
9 O 0.333 0.480 0.146
10 O 0.480 0.146 0.333
11 O 0.520 0.854 0.667
12 O 0.667 0.520 0.854
13 O 0.667 0.813 0.146
14 O 0.813 0.146 0.667
15 O 0.854 0.333 0.187
16 O 0.854 0.667 0.520